(1)
Calculated powder XRD pattern of Zn2As for Cu Kα (λ = 1.5418 Å), from a crystal structure in the Materials Project, relaxed with GGA-PBE.
Lines closer than 0.1° are merged.

Structure:
```
data_Zn2As
_cell_length_a 5.596
_cell_length_b 5.596
_cell_length_c 5.596
_cell_angle_alpha 90.00
_cell_angle_beta 90.00
_cell_angle_gamma 90.00
_space_group_name_H-M_alt 'P n -3 m'
_space_group_IT_number 224
loop_
_space_group_symop_operation_xyz
'x,y,z'
'-x,-y,-z'
'-y,x+1/2,z+1/2'
'y,-x+1/2,-z+1/2'
'-x+1/2,-y+1/2,z'
'x+1/2,y+1/2,-z'
'y+1/2,-x,z+1/2'
'-y+1/2,x,-z+1/2'
'x,-y+1/2,-z+1/2'
'-x,y+1/2,z+1/2'
'-y,-x,-z'
'y,x,z'
'-x+1/2,y,-z+1/2'
'x+1/2,-y,z+1/2'
'y+1/2,x+1/2,-z'
'-y+1/2,-x+1/2,z'
'z,x,y'
'-z,-x,-y'
'z+1/2,-y,x+1/2'
'-z+1/2,y,-x+1/2'
'z,-x+1/2,-y+1/2'
'-z,x+1/2,y+1/2'
'z+1/2,y+1/2,-x'
'-z+1/2,-y+1/2,x'
'-z+1/2,x,-y+1/2'
'z+1/2,-x,y+1/2'
'-z,-y,-x'
'z,y,x'
'-z+1/2,-x+1/2,y'
'z+1/2,x+1/2,-y'
'-z,y+1/2,x+1/2'
'z,-y+1/2,-x+1/2'
'y,z,x'
'-y,-z,-x'
'x+1/2,z+1/2,-y'
'-x+1/2,-z+1/2,y'
'-y+1/2,z,-x+1/2'
'y+1/2,-z,x+1/2'
'-x,z+1/2,y+1/2'
'x,-z+1/2,-y+1/2'
'-y+1/2,-z+1/2,x'
'y+1/2,z+1/2,-x'
'-x,-z,-y'
'x,z,y'
'y,-z+1/2,-x+1/2'
'-y,z+1/2,x+1/2'
'x+1/2,-z,y+1/2'
'-x+1/2,z,-y+1/2'
loop_
_atom_site_label
_atom_site_fract_x
_atom_site_fract_y
_atom_site_fract_z
_atom_site_occupancy
Zn1 0.000 0.000 0.000 1
As1 0.250 0.250 0.250 1
```

Top 8 peaks for 10° ≤ 2θ ≤ 90°, by intensity:
| hkl | Position (°2θ) | d (Å) | I/Imax |
| --- | --- | --- | --- |
| 1 1 1 | 27.61 | 3.231 | 100 |
| 2 2 0 | 45.86 | 1.979 | 87 |
| 1 1 0 | 22.47 | 3.957 | 74 |
| 3 1 1 | 54.37 | 1.687 | 43 |
| 2 1 1 | 39.44 | 2.285 | 33 |
| 4 2 2 | 84.89 | 1.142 | 27 |
| 3 2 1 | 62.05 | 1.496 | 17 |
| 3 3 1 | 73.81 | 1.284 | 16 |

(2)
Calculated powder XRD pattern of ZrAs2 for Cu Kα (λ = 1.5418 Å), from a crystal structure in the Materials Project, relaxed with GGA-PBE.
Lines closer than 0.1° are merged.

Structure:
```
data_ZrAs2
_cell_length_a 6.862
_cell_length_b 3.727
_cell_length_c 9.144
_cell_angle_alpha 90.00
_cell_angle_beta 90.00
_cell_angle_gamma 90.00
_space_group_name_H-M_alt 'P n m a'
_space_group_IT_number 62
_space_group_name_Hall '-P 2ac 2n'
loop_
_atom_site_label
_atom_site_fract_x
_atom_site_fract_y
_atom_site_fract_z
_atom_site_occupancy
Zr1 0.227 0.250 0.162 1
As1 0.083 0.250 0.853 1
As2 0.120 0.250 0.458 1
```

Top 8 peaks for 10° ≤ 2θ ≤ 90°, by intensity:
| hkl | Position (°2θ) | d (Å) | I/Imax |
| --- | --- | --- | --- |
| 1 1 3 | 40.43 | 2.231 | 100 |
| 2 1 0 | 35.57 | 2.524 | 77 |
| 2 1 1 | 36.94 | 2.433 | 53 |
| 1 0 3 | 32.13 | 2.786 | 46 |
| 3 0 2 | 44.28 | 2.046 | 46 |
| 1 1 2 | 33.66 | 2.662 | 40 |
| 0 2 0 | 48.88 | 1.863 | 32 |
| 3 2 2 | 68.06 | 1.378 | 25 |

(3)
Calculated powder XRD pattern of B2Au for Cu Kα (λ = 1.5418 Å), from a crystal structure in the Materials Project, relaxed with GGA-PBE.
Lines closer than 0.1° are merged.

Structure:
```
data_B2Au
_cell_length_a 3.0125
_cell_length_b 3.0125
_cell_length_c 4.2397
_cell_angle_alpha 90.00
_cell_angle_beta 90.00
_cell_angle_gamma 120.00
_space_group_name_H-M_alt 'P 6/m m m'
_space_group_IT_number 191
_space_group_name_Hall '-P 6 2'
loop_
_atom_site_label
_atom_site_fract_x
_atom_site_fract_y
_atom_site_fract_z
_atom_site_occupancy
B1 0.3333 0.6667 0.0000 1
Au1 0.0000 0.0000 0.5000 1
```

Top 8 peaks for 10° ≤ 2θ ≤ 90°, by intensity:
| hkl | Position (°2θ) | d (Å) | I/Imax |
| --- | --- | --- | --- |
| 1 0 1 | 40.60 | 2.222 | 100 |
| 1 0 0 | 34.37 | 2.609 | 67 |
| 0 0 1 | 20.95 | 4.240 | 66 |
| 1 0 2 | 55.89 | 1.645 | 35 |
| 1 1 1 | 65.80 | 1.419 | 20 |
| 1 1 2 | 77.79 | 1.228 | 16 |
| 2 0 1 | 76.39 | 1.247 | 16 |
| 1 0 3 | 76.69 | 1.243 | 16 |

(4)
Calculated powder XRD pattern of BAu3 for Cu Kα (λ = 1.5418 Å), from a crystal structure in the Materials Project, relaxed with GGA-PBE.
Lines closer than 0.1° are merged.

Structure:
```
data_BAu3
_cell_length_a 6.391
_cell_length_b 6.391
_cell_length_c 6.391
_cell_angle_alpha 90.00
_cell_angle_beta 90.00
_cell_angle_gamma 90.00
_space_group_name_H-M_alt 'F m -3 m'
_space_group_IT_number 225
_space_group_name_Hall '-F 4 2 3'
loop_
_atom_site_label
_atom_site_fract_x
_atom_site_fract_y
_atom_site_fract_z
_atom_site_occupancy
B1 0.000 0.000 0.000 1
Au1 0.000 0.000 0.500 1
Au2 0.250 0.250 0.250 1
```

Top 8 peaks for 10° ≤ 2θ ≤ 90°, by intensity:
| hkl | Position (°2θ) | d (Å) | I/Imax |
| --- | --- | --- | --- |
| 2 2 0 | 39.90 | 2.259 | 100 |
| 4 2 2 | 72.45 | 1.304 | 35 |
| 1 1 1 | 24.12 | 3.690 | 24 |
| 4 0 0 | 57.70 | 1.598 | 17 |
| 3 1 1 | 47.17 | 1.927 | 13 |
| 2 0 0 | 27.92 | 3.195 | 13 |
| 4 4 0 | 86.06 | 1.130 | 12 |
| 3 3 1 | 63.45 | 1.466 | 5 |

(5)
Calculated powder XRD pattern of BaAu5 for Cu Kα (λ = 1.5418 Å), from a crystal structure in the Materials Project, relaxed with GGA-PBE.
Lines closer than 0.1° are merged.

Structure:
```
data_BaAu5
_cell_length_a 5.9480
_cell_length_b 5.9480
_cell_length_c 4.5381
_cell_angle_alpha 90.00
_cell_angle_beta 90.00
_cell_angle_gamma 120.00
_space_group_name_H-M_alt 'P 6/m m m'
_space_group_IT_number 191
_space_group_name_Hall '-P 6 2'
loop_
_atom_site_label
_atom_site_fract_x
_atom_site_fract_y
_atom_site_fract_z
_atom_site_occupancy
Ba1 0.0000 0.0000 0.0000 1
Au1 0.0000 0.5000 0.5000 1
Au2 0.3333 0.6667 0.0000 1
```

Top 8 peaks for 10° ≤ 2θ ≤ 90°, by intensity:
| hkl | Position (°2θ) | d (Å) | I/Imax |
| --- | --- | --- | --- |
| 1 1 1 | 36.11 | 2.487 | 100 |
| 2 0 1 | 40.26 | 2.240 | 62 |
| 1 0 0 | 17.21 | 5.151 | 39 |
| 0 0 2 | 39.72 | 2.269 | 31 |
| 2 0 0 | 34.83 | 2.576 | 29 |
| 2 2 2 | 76.61 | 1.244 | 28 |
| 3 0 1 | 57.38 | 1.606 | 27 |
| 2 2 0 | 62.45 | 1.487 | 25 |

(6)
Calculated powder XRD pattern of KBa4AuC4O4 for Cu Kα (λ = 1.5418 Å), from a crystal structure in the Materials Project, relaxed with GGA-PBE.
Lines closer than 0.1° are merged.

Structure:
```
data_KBa4AuC4O4
_cell_length_a 6.162
_cell_length_b 6.162
_cell_length_c 15.543
_cell_angle_alpha 90.00
_cell_angle_beta 90.00
_cell_angle_gamma 90.00
_space_group_name_H-M_alt 'I 4/m m m'
_space_group_IT_number 139
_space_group_name_Hall '-I 4 2'
loop_
_atom_site_label
_atom_site_fract_x
_atom_site_fract_y
_atom_site_fract_z
_atom_site_occupancy
K1 0.000 0.000 0.000 1
Ba1 0.000 0.500 0.118 1
Au1 0.000 0.000 0.500 1
C1 0.000 0.000 0.191 1
C2 0.000 0.000 0.273 1
O1 0.230 0.230 0.500 1
```

Top 8 peaks for 10° ≤ 2θ ≤ 90°, by intensity:
| hkl | Position (°2θ) | d (Å) | I/Imax |
| --- | --- | --- | --- |
| 1 1 4 | 30.83 | 2.900 | 100 |
| 2 0 0 | 28.98 | 3.081 | 53 |
| 3 1 4 | 52.54 | 1.742 | 43 |
| 0 0 2 | 11.39 | 7.772 | 41 |
| 2 2 0 | 41.45 | 2.179 | 27 |
| 1 0 1 | 15.47 | 5.728 | 20 |
| 2 0 8 | 55.95 | 1.643 | 13 |
| 1 1 0 | 20.38 | 4.357 | 13 |

(7)
Calculated powder XRD pattern of Ba2AuC2O2 for Cu Kα (λ = 1.5418 Å), from a crystal structure in the Materials Project, relaxed with GGA-PBE.
Lines closer than 0.1° are merged.

Structure:
```
data_Ba2AuC2O2
_cell_length_a 5.996
_cell_length_b 5.996
_cell_length_c 15.788
_cell_angle_alpha 90.00
_cell_angle_beta 90.00
_cell_angle_gamma 90.00
_space_group_name_H-M_alt 'I 4/m m m'
_space_group_IT_number 139
_space_group_name_Hall '-I 4 2'
loop_
_atom_site_label
_atom_site_fract_x
_atom_site_fract_y
_atom_site_fract_z
_atom_site_occupancy
Ba1 0.000 0.500 0.120 1
Au1 0.000 0.000 0.000 1
Au2 0.000 0.000 0.500 1
C1 0.000 0.000 0.205 1
C2 0.000 0.000 0.286 1
O1 0.250 0.250 0.000 1
```

Top 8 peaks for 10° ≤ 2θ ≤ 90°, by intensity:
| hkl | Position (°2θ) | d (Å) | I/Imax |
| --- | --- | --- | --- |
| 1 1 4 | 30.95 | 2.889 | 100 |
| 0 0 2 | 11.21 | 7.894 | 61 |
| 2 0 0 | 29.80 | 2.998 | 50 |
| 3 1 4 | 53.62 | 1.709 | 42 |
| 2 2 0 | 42.65 | 2.120 | 25 |
| 1 1 2 | 23.82 | 3.735 | 21 |
| 2 0 8 | 55.75 | 1.649 | 17 |
| 1 1 6 | 40.34 | 2.236 | 14 |

(8)
Calculated powder XRD pattern of BaAu2F12 for Cu Kα (λ = 1.5418 Å), from a crystal structure in the Materials Project, relaxed with GGA-PBE.
Lines closer than 0.1° are merged.

Structure:
```
data_BaAu2F12
_cell_length_a 10.612
_cell_length_b 10.612
_cell_length_c 10.612
_cell_angle_alpha 90.00
_cell_angle_beta 90.00
_cell_angle_gamma 90.00
_space_group_name_H-M_alt 'P m -3 m'
_space_group_IT_number 221
_space_group_name_Hall '-P 4 2 3'
loop_
_atom_site_label
_atom_site_fract_x
_atom_site_fract_y
_atom_site_fract_z
_atom_site_occupancy
Ba1 0.000 0.000 0.000 1
Ba2 0.000 0.000 0.500 1
Au1 0.253 0.253 0.253 1
F1 0.123 0.123 0.306 1
F2 0.185 0.368 0.368 1
```

Top 8 peaks for 10° ≤ 2θ ≤ 90°, by intensity:
| hkl | Position (°2θ) | d (Å) | I/Imax |
| --- | --- | --- | --- |
| 2 2 0 | 23.71 | 3.752 | 100 |
| 4 2 2 | 41.69 | 2.166 | 45 |
| 2 0 0 | 16.71 | 5.306 | 43 |
| 6 4 2 | 65.86 | 1.418 | 24 |
| 6 2 0 | 54.70 | 1.678 | 20 |
| 4 4 0 | 48.53 | 1.876 | 19 |
| 6 6 0 | 76.11 | 1.251 | 12 |
| 4 0 0 | 33.78 | 2.653 | 10 |

(9)
Calculated powder XRD pattern of BaGe2Au5 for Cu Kα (λ = 1.5418 Å), from a crystal structure in the Materials Project, relaxed with GGA-PBE.
Lines closer than 0.1° are merged.

Structure:
```
data_BaGe2Au5
_cell_length_a 9.211
_cell_length_b 7.267
_cell_length_c 10.502
_cell_angle_alpha 90.00
_cell_angle_beta 90.00
_cell_angle_gamma 90.00
_space_group_name_H-M_alt 'P n m a'
_space_group_IT_number 62
_space_group_name_Hall '-P 2ac 2n'
loop_
_atom_site_label
_atom_site_fract_x
_atom_site_fract_y
_atom_site_fract_z
_atom_site_occupancy
Ba1 0.247 0.250 0.121 1
Ge1 0.049 0.250 0.619 1
Ge2 0.154 0.750 0.964 1
Au1 0.073 0.043 0.854 1
Au2 0.100 0.053 0.390 1
Au3 0.191 0.750 0.210 1
```

Top 8 peaks for 10° ≤ 2θ ≤ 90°, by intensity:
| hkl | Position (°2θ) | d (Å) | I/Imax |
| --- | --- | --- | --- |
| 3 0 2 | 33.82 | 2.651 | 100 |
| 1 2 2 | 31.48 | 2.842 | 94 |
| 1 3 2 | 42.22 | 2.140 | 83 |
| 2 2 0 | 31.36 | 2.853 | 48 |
| 0 0 4 | 34.15 | 2.626 | 38 |
| 2 3 0 | 42.15 | 2.144 | 36 |
| 6 2 0 | 66.13 | 1.413 | 25 |
| 3 2 6 | 66.70 | 1.402 | 25 |

What did the fifth record say?
Calculated powder XRD pattern of BaAu5 for Cu Kα (λ = 1.5418 Å), from a crystal structure in the Materials Project, relaxed with GGA-PBE.
Lines closer than 0.1° are merged.

Structure:
```
data_BaAu5
_cell_length_a 5.9480
_cell_length_b 5.9480
_cell_length_c 4.5381
_cell_angle_alpha 90.00
_cell_angle_beta 90.00
_cell_angle_gamma 120.00
_space_group_name_H-M_alt 'P 6/m m m'
_space_group_IT_number 191
_space_group_name_Hall '-P 6 2'
loop_
_atom_site_label
_atom_site_fract_x
_atom_site_fract_y
_atom_site_fract_z
_atom_site_occupancy
Ba1 0.0000 0.0000 0.0000 1
Au1 0.0000 0.5000 0.5000 1
Au2 0.3333 0.6667 0.0000 1
```

Top 8 peaks for 10° ≤ 2θ ≤ 90°, by intensity:
| hkl | Position (°2θ) | d (Å) | I/Imax |
| --- | --- | --- | --- |
| 1 1 1 | 36.11 | 2.487 | 100 |
| 2 0 1 | 40.26 | 2.240 | 62 |
| 1 0 0 | 17.21 | 5.151 | 39 |
| 0 0 2 | 39.72 | 2.269 | 31 |
| 2 0 0 | 34.83 | 2.576 | 29 |
| 2 2 2 | 76.61 | 1.244 | 28 |
| 3 0 1 | 57.38 | 1.606 | 27 |
| 2 2 0 | 62.45 | 1.487 | 25 |